Structure and simulated X-ray diffraction stick pattern of Na2UP2O9 (a structure optimized by DFT (GGA-PBE); λ = 1.5418 Å (Cu Kα)).
Lines closer than 0.1° are merged.

Principal peaks in the range 10 to 90 degrees two-theta, in order of rising 2θ:
2θ (°)	d_spacing	I_rel	hkl
13.19	6.711	39	2 0 0
16.52	5.366	100	0 1 1
17.01	5.213	40	2 1 0
21.20	4.191	78	2 1 1
21.47	4.138	64	0 2 0
25.28	3.523	83	0 0 2
28.67	3.113	44	4 1 0
29.48	3.030	59	4 0 1
33.40	2.683	30	0 2 2
36.77	2.444	29	4 2 1

Crystal structure
abc: 13.4224 8.2757 7.0475
angles: 90.00 90.00 90.00
Space group Pna2_1 (No. 33)
One atom of each set of equivalent atoms:
Na  0.0308  0.0222  0.0000 [4 per cell]
Na  0.1635  0.2680  0.2714 [4 per cell]
U  0.1988  0.7519  0.2638 [4 per cell]
P  0.0782  0.3469  0.7649 [4 per cell]
P  0.0984  0.7122  0.7640 [4 per cell]
O  0.0118  0.8296  0.7627 [4 per cell]
O  0.0208  0.7452  0.2593 [4 per cell]
O  0.0455  0.5341  0.7748 [4 per cell]
O  0.1418  0.2988  0.9380 [4 per cell]
O  0.1459  0.3166  0.5935 [4 per cell]
O  0.1627  0.7180  0.5842 [4 per cell]
O  0.1645  0.7301  0.9409 [4 per cell]
O  0.1716  0.9688  0.2626 [4 per cell]
O  0.2252  0.5373  0.2590 [4 per cell]